Theoretical powder XRD pattern
Compound: CsHfCu3Se4
Radiation: Cu Kα (weighted mean of Kα1 and Kα2)
Structure: a structure optimized by DFT (PBE)
Kinematic intensities with the Lorentz-polarization factor, no thermal factor.

Main lines, by intensity (2θ = 5–70°):
| h k l | two_theta | d_spacing | I/Imax |
| --- | --- | --- | --- |
| 2 2 0 | 39.7 | 2.271 | 100 |
| 1 1 0 | 19.5 | 4.541 | 59 |
| 1 1 1 | 24.0 | 3.708 | 48 |
| 1 0 0 | 13.8 | 6.422 | 32 |
| 2 1 1 | 34.2 | 2.622 | 30 |
| 3 2 1 | 53.4 | 1.716 | 22 |
| 3 1 1 | 46.9 | 1.936 | 19 |
| 4 0 0 | 57.4 | 1.606 | 15 |

```
9
Lattice="6.422 0.000 0.000 0.000 6.422 0.000 0.000 0.000 6.422" Properties=species:S:1:pos:R:3 pbc="T T T"
Cs 0.000 0.000 0.000
Hf 3.211 3.211 3.211
Cu 0.000 3.211 3.211
Cu 3.211 0.000 3.211
Cu 3.211 3.211 0.000
Se 1.792 1.792 4.630
Se 1.792 4.630 1.792
Se 4.630 1.792 1.792
Se 4.630 4.630 4.630
```